Entry 1:
Starting from the PBE geometry in OQMD, the X-ray diffraction stick pattern of Cs2Au2O5 was computed for Cu Kα X-rays.
Lines closer than 0.1° are merged.

The 8 most intense peaks (15 to 90 degrees two-theta), low angle first:
d_spacing	2θ/deg	I/Imax	hkl
3.105	28.75	1000	1 0 2
2.850	31.39	386	1 1 0
2.436	36.91	139	0 0 4
2.015	44.99	211	2 0 0
1.851	49.21	165	1 1 4
1.690	54.27	346	2 1 2
1.553	59.55	133	2 0 4
1.295	73.07	73	3 0 2

Cell lengths 4.0299, 4.0299, 9.7423 Å; angles 90.00, 90.00, 90.00 degrees
Space group P4/mmm (No. 123)
Unique sites:
Cs 0.0000 0.0000 0.0000 [1 per cell]
Cs 0.0000 0.0000 0.5000 [1 per cell]
Au 0.5000 0.5000 0.2219 [2 per cell]
O 0.0000 0.5000 0.2682 [4 per cell]
O 0.5000 0.5000 0.0000 [1 per cell]

---

Entry 2:
Starting from the PBE geometry in OQMD, the X-ray diffraction stick pattern of CsPdAuO3 was computed for Cu Kα X-rays.
Lines closer than 0.1° are merged.

The 8 most intense peaks (15 to 90 degrees two-theta), low angle first:
d_spacing	2θ/deg	I/Imax	hkl
4.054	21.92	370	2 0 2
3.279	27.19	722	3 0 2
3.118	28.63	901	4 0 0
2.786	32.13	295	2 1 1
2.713	33.02	1000	1 1 2
2.668	33.60	422	0 0 4
2.310	38.98	872	3 1 2
2.027	44.71	287	4 0 4

Cell lengths 12.4727, 3.2557, 10.6701 Å; angles 90.00, 90.00, 90.00 degrees
Space group Pnma (No. 62)
Unique sites:
Cs 0.2404 0.2500 0.1535 [4 per cell]
Pd 0.0227 0.2500 0.3801 [4 per cell]
Au 0.0182 0.2500 0.9102 [4 per cell]
O 0.0516 0.7500 0.7868 [4 per cell]
O 0.0720 0.2500 0.5635 [4 per cell]
O 0.1156 0.7500 0.3353 [4 per cell]

---

Entry 3:
Starting from the PBE geometry in OQMD, the X-ray diffraction stick pattern of CsPdAu3O4 was computed for Cu Kα X-rays.
Lines closer than 0.1° are merged.

The 8 most intense peaks (15 to 90 degrees two-theta), low angle first:
d_spacing	2θ/deg	I/Imax	hkl
5.698	15.55	271	1 0 0
3.290	27.10	1000	1 1 1
2.849	31.40	810	2 0 0
2.015	45.00	788	2 2 0
1.718	53.32	479	3 1 1
1.645	55.90	226	2 2 2
1.274	74.47	306	4 2 0
1.163	83.03	259	4 2 2

Cell lengths 5.6981, 5.6981, 5.6981 Å; angles 90.00, 90.00, 90.00 degrees
Space group P-43m (No. 215)
Unique sites:
Cs 0.0000 0.0000 0.0000 [1 per cell]
Pd 0.5000 0.5000 0.5000 [1 per cell]
Au 0.0000 0.5000 0.5000 [3 per cell]
O 0.2888 0.2888 0.2888 [4 per cell]

---

Entry 4:
Starting from the PBE geometry in OQMD, the X-ray diffraction stick pattern of CsRbAu2O2 was computed for Cu Kα X-rays.
Lines closer than 0.1° are merged.

The 8 most intense peaks (15 to 90 degrees two-theta), low angle first:
d_spacing	2θ/deg	I/Imax	hkl
5.024	17.65	1000	0 1 1
4.715	18.82	362	0 0 2
3.868	22.99	307	1 1 1
2.968	30.11	627	0 2 0
2.778	32.22	845	0 1 3
2.596	34.56	989	2 1 1
2.550	35.19	519	2 0 2
1.935	46.97	547	2 2 2

Cell lengths 6.0631, 5.9366, 9.4301 Å; angles 90.00, 90.00, 90.00 degrees
Space group Amm2 (No. 38)
Unique sites:
Cs 0.0000 0.0000 0.0000 [2 per cell]
Rb 0.5000 0.0000 0.6684 [2 per cell]
Au 0.2512 0.0000 0.3373 [4 per cell]
O 0.0000 0.0000 0.4827 [2 per cell]
O 0.5000 0.0000 0.1905 [2 per cell]

---

Entry 5:
Starting from the PBE geometry in OQMD, the X-ray diffraction stick pattern of CsRbAu2O4 was computed for Cu Kα X-rays.
Lines closer than 0.1° are merged.

The 8 most intense peaks (15 to 90 degrees two-theta), low angle first:
d_spacing	2θ/deg	I/Imax	hkl
3.835	23.20	1000	0 1 1
3.259	27.37	838	0 0 4
3.087	28.93	517	2 0 0
2.948	30.32	797	0 1 3
2.404	37.40	323	2 1 1
2.241	40.23	503	2 0 4
2.132	42.40	766	2 1 3
1.482	62.68	307	2 1 7

Cell lengths 6.1731, 4.0118, 13.0416 Å; angles 90.00, 90.00, 90.00 degrees
Space group Amm2 (No. 38)
Unique sites:
Cs 0.0000 0.0000 0.0000 [2 per cell]
Rb 0.5000 0.0000 0.5709 [2 per cell]
Au 0.0000 0.0000 0.2810 [2 per cell]
Au 0.5000 0.0000 0.2862 [2 per cell]
O 0.2469 0.0000 0.3856 [4 per cell]
O 0.2559 0.0000 0.1816 [4 per cell]

---

Entry 6:
Starting from the PBE geometry in OQMD, the X-ray diffraction stick pattern of CsZrAu3O4 was computed for Cu Kα X-rays.
Lines closer than 0.1° are merged.

The 8 most intense peaks (15 to 90 degrees two-theta), low angle first:
d_spacing	2θ/deg	I/Imax	hkl
5.802	15.27	229	1 0 0
3.350	26.61	1000	1 1 1
2.901	30.82	754	2 0 0
2.051	44.15	725	2 2 0
1.749	52.30	489	3 1 1
1.675	54.81	214	2 2 2
1.297	72.92	290	4 2 0
1.184	81.23	235	4 2 2

Cell lengths 5.8018, 5.8018, 5.8018 Å; angles 90.00, 90.00, 90.00 degrees
Space group P-43m (No. 215)
Unique sites:
Cs 0.0000 0.0000 0.0000 [1 per cell]
Zr 0.5000 0.5000 0.5000 [1 per cell]
Au 0.0000 0.5000 0.5000 [3 per cell]
O 0.2972 0.2972 0.2972 [4 per cell]